Record 1
Diffraction record for Pm4Nd8Y3. The X-ray diffraction stick pattern is calculated, not measured: it uses a PBE-relaxed structure and a wavelength of 1.5418 Å.
Neutral-atom scattering factors, no anomalous dispersion.

Crystal structure
Cell: 7.0979 7.0979 36.2211 Å, 90.00 90.00 120.00°
Space group R-3m (No. 166, hexagonal axes)
Asymmetric unit:
1 Pm 0.0000 0.0000 0.0000 (multiplicity 3)
2 Pm 0.0000 0.0000 0.1637 (multiplicity 6)
3 Pm 0.0000 0.0000 0.5000 (multiplicity 3)
4 Nd 0.0000 0.0000 0.2539 (multiplicity 6)
5 Nd 0.0014 0.5007 0.2509 (multiplicity 18)
6 Y 0.0000 0.5000 0.0000 (multiplicity 9)

Principal peaks in the range 2θ from 10° to 80°, in order of rising 2θ:
Position (°2θ)  I_rel  h k l
29.18  31.4  1 1 6
29.60  60.4  0 0 12
30.72  100.0  0 2 4
35.30  73.7  2 0 8
51.50  39.3  2 2 0
60.52  50.4  2 2 12

Record 2
Diffraction record for Ba2GePbSe5. The X-ray diffraction stick pattern is calculated, not measured: it uses a PBE-relaxed structure and a wavelength of 1.5418 Å.
Neutral-atom scattering factors, no anomalous dispersion.

Crystal structure
Cell: 4.329 19.427 13.674 Å, 90.00 90.00 90.00°
Space group Cmc2_1 (No. 36)
Asymmetric unit:
1 Ba 0.000 0.123 0.000 (multiplicity 4)
2 Ba 0.000 0.126 0.652 (multiplicity 4)
3 Ge 0.000 0.445 0.729 (multiplicity 4)
4 Pb 0.000 0.203 0.359 (multiplicity 4)
5 Se 0.000 0.023 0.320 (multiplicity 4)
6 Se 0.000 0.293 0.007 (multiplicity 4)
7 Se 0.000 0.326 0.686 (multiplicity 4)
8 Se 0.000 0.348 0.328 (multiplicity 4)
9 Se 0.000 0.496 0.078 (multiplicity 4)

Principal peaks in the range 2θ from 10° to 80°, in order of rising 2θ:
Position (°2θ)  I_rel  h k l
15.85  17.5  0 2 2
28.33  40.7  0 6 1
28.81  100.0  1 1 3
33.65  48.1  1 5 2
41.73  22.9  2 0 0
47.09  18.3  1 7 4

Record 3
Diffraction record for Al2Fe2Ni7. The X-ray diffraction stick pattern is calculated, not measured: it uses a PBE-relaxed structure and a wavelength of 1.5418 Å.
Neutral-atom scattering factors, no anomalous dispersion.

Crystal structure
Cell: 3.832 10.845 6.266 Å, 90.00 90.00 90.00°
Space group Imm2 (No. 44)
Asymmetric unit:
1 Al 0.000 0.206 0.000 (multiplicity 4)
2 Fe 0.000 0.000 0.795 (multiplicity 2)
3 Fe 0.000 0.500 0.978 (multiplicity 2)
4 Ni 0.000 0.000 0.192 (multiplicity 2)
5 Ni 0.000 0.145 0.493 (multiplicity 4)
6 Ni 0.000 0.348 0.706 (multiplicity 4)
7 Ni 0.000 0.355 0.283 (multiplicity 4)

Principal peaks in the range 2θ from 10° to 80°, in order of rising 2θ:
Position (°2θ)  I_rel  h k l
43.36  32.7  1 4 1
44.16  21.5  0 1 3
45.01  100.0  1 3 2
47.46  29.4  2 0 0
50.49  15.6  0 6 0
66.83  11.3  2 1 3

Please write out number 1 again, unchanged.
Diffraction record for Pm4Nd8Y3. The X-ray diffraction stick pattern is calculated, not measured: it uses a PBE-relaxed structure and a wavelength of 1.5418 Å.
Neutral-atom scattering factors, no anomalous dispersion.

Crystal structure
Cell: 7.0979 7.0979 36.2211 Å, 90.00 90.00 120.00°
Space group R-3m (No. 166, hexagonal axes)
Asymmetric unit:
1 Pm 0.0000 0.0000 0.0000 (multiplicity 3)
2 Pm 0.0000 0.0000 0.1637 (multiplicity 6)
3 Pm 0.0000 0.0000 0.5000 (multiplicity 3)
4 Nd 0.0000 0.0000 0.2539 (multiplicity 6)
5 Nd 0.0014 0.5007 0.2509 (multiplicity 18)
6 Y 0.0000 0.5000 0.0000 (multiplicity 9)

Principal peaks in the range 2θ from 10° to 80°, in order of rising 2θ:
Position (°2θ)  I_rel  h k l
29.18  31.4  1 1 6
29.60  60.4  0 0 12
30.72  100.0  0 2 4
35.30  73.7  2 0 8
51.50  39.3  2 2 0
60.52  50.4  2 2 12

Which formula does entry 1 have?
Pm4Nd8Y3